Record 1
For Ba4AgAuO6, the GGA-PBE geometry in OQMD gives the simulated powder X-ray diffraction pattern in this record (Cu Kα (λ = 1.5418 Å)).

```
data_Ba4AgAuO6
_cell_length_a 13.3405
_cell_length_b 5.8009
_cell_length_c 11.4097
_cell_angle_alpha 90.00
_cell_angle_beta 90.00
_cell_angle_gamma 90.00
_space_group_name_H-M_alt 'C m c m'
_space_group_IT_number 63
_space_group_name_Hall '-C 2c 2'
loop_
_atom_site_label
_atom_site_fract_x
_atom_site_fract_y
_atom_site_fract_z
_atom_site_occupancy
Ba1 0.1461 0.0675 0.2500 1
Ba2 0.1468 0.5000 0.0000 1
Ag1 0.0000 0.4014 0.7500 1
Au1 0.0000 0.0000 0.0000 1
O1 0.0000 0.2739 0.1104 1
O2 0.1548 0.0000 0.0000 1
O3 0.1602 0.4001 0.7500 1
```

Top 10 peaks for 2θ from 5° to 70°, in order of falling intensity:
hkl	two_theta	I/Imax
3 1 2	29.77	100
0 0 4	31.36	35
0 2 0	30.83	22
0 2 4	44.55	19
3 1 6	54.84	19
6 0 4	52.17	16
6 0 0	40.58	15
5 1 2	40.43	12
2 0 0	13.27	10
6 2 4	61.82	10

=====

Record 2
For YHo2In3Cu2Ni, the GGA-PBE geometry in OQMD gives the simulated powder X-ray diffraction pattern in this record (Cu Kα (λ = 1.5418 Å)).

```
data_YHo2In3Cu2Ni
_cell_length_a 3.8831
_cell_length_b 12.9088
_cell_length_c 7.4465
_cell_angle_alpha 90.00
_cell_angle_beta 90.00
_cell_angle_gamma 90.00
_space_group_name_H-M_alt 'A m m 2'
_space_group_IT_number 38
_space_group_name_Hall 'A 2 -2'
loop_
_atom_site_label
_atom_site_fract_x
_atom_site_fract_y
_atom_site_fract_z
_atom_site_occupancy
Y1 0.0000 0.0000 0.0000 1
Ho1 0.0000 0.2032 0.6099 1
In1 0.5000 0.0000 0.6595 1
In2 0.5000 0.1264 0.2805 1
Cu1 0.5000 0.1678 0.9062 1
Ni1 0.0000 0.0000 0.4084 1
```

Top 10 peaks for 2θ from 5° to 70°, in order of falling intensity:
hkl	two_theta	I/Imax
1 0 2	33.33	100
1 2 2	36.20	69
0 5 1	36.86	53
0 3 3	42.01	25
1 7 3	67.75	25
2 5 1	61.00	24
2 0 0	46.79	21
1 5 3	56.64	19
1 5 1	43.84	16
2 3 3	64.68	13

=====

Record 3
For Cu4Ag, the GGA-PBE geometry in OQMD gives the simulated powder X-ray diffraction pattern in this record (Cu Kα (λ = 1.5418 Å)).

```
data_Cu4Ag
_cell_length_a 5.8857
_cell_length_b 3.7338
_cell_length_c 5.9285
_cell_angle_alpha 90.00
_cell_angle_beta 90.57
_cell_angle_gamma 90.00
_space_group_name_H-M_alt 'P 1 21/m 1'
_space_group_IT_number 11
_space_group_name_Hall '-P 2yb'
loop_
_atom_site_label
_atom_site_fract_x
_atom_site_fract_y
_atom_site_fract_z
_atom_site_occupancy
Cu1 0.0406 0.2500 0.3532 1
Cu2 0.1335 0.7500 0.0485 1
Cu3 0.2374 0.2500 0.7382 1
Cu4 0.3379 0.7500 0.4523 1
Ag1 0.4448 0.2500 0.1596 1
```

Top 10 peaks for 2θ from 5° to 70°, in order of falling intensity:
hkl	two_theta	I/Imax
2 1 -1	41.84	100
1 1 2	41.95	100
0 2 0	48.78	33
1 0 -3	48.45	32
3 0 1	49.06	30
1 1 -1	32.08	5
2 0 1	34.15	4
0 1 1	28.25	4
1 0 0	15.05	2
4 1 0	68.55	2

=====

Record 4
For Ta4As5Ir5, the GGA-PBE geometry in OQMD gives the simulated powder X-ray diffraction pattern in this record (Cu Kα (λ = 1.5418 Å)).

```
data_Ta4As5Ir5
_cell_length_a 9.4605
_cell_length_b 9.4605
_cell_length_c 6.0646
_cell_angle_alpha 90.00
_cell_angle_beta 90.00
_cell_angle_gamma 90.00
_space_group_name_H-M_alt 'I -4'
_space_group_IT_number 82
_space_group_name_Hall 'I -4'
loop_
_atom_site_label
_atom_site_fract_x
_atom_site_fract_y
_atom_site_fract_z
_atom_site_occupancy
Ta1 0.0980 0.3010 0.0013 1
As1 0.0000 0.0000 0.0000 1
As2 0.0926 0.2852 0.5029 1
Ir1 0.0000 0.5000 0.7500 1
Ir2 0.1075 0.7873 0.2331 1
```

Top 10 peaks for 2θ from 5° to 70°, in order of falling intensity:
hkl	two_theta	I/Imax
1 3 2	42.45	100
2 1 1	25.67	91
4 2 0	42.74	47
5 0 1	50.53	28
2 1 3	50.00	16
2 6 0	62.05	15
5 0 3	67.85	11
1 1 0	13.24	10
1 0 1	17.37	9
0 0 4	61.12	9

=====

Record 5
For Cu19Ag21, the GGA-PBE geometry in OQMD gives the simulated powder X-ray diffraction pattern in this record (Cu Kα (λ = 1.5418 Å)).

```
data_Cu19Ag21
_cell_length_a 5.5878
_cell_length_b 10.6667
_cell_length_c 11.4126
_cell_angle_alpha 65.94
_cell_angle_beta 76.12
_cell_angle_gamma 82.62
_space_group_name_H-M_alt 'P 1'
_space_group_IT_number 1
_space_group_name_Hall 'P 1'
loop_
_atom_site_label
_atom_site_fract_x
_atom_site_fract_y
_atom_site_fract_z
_atom_site_occupancy
Cu1 0.0000 0.0000 0.0000 1
Cu2 0.0147 0.5785 0.1668 1
Cu3 0.0337 0.1963 0.3062 1
Cu4 0.0937 0.3816 0.6042 1
Cu5 0.1572 0.1872 0.0577 1
Cu6 0.1975 0.3820 0.3661 1
Cu7 0.2624 0.5869 0.6572 1
Cu8 0.2929 0.1910 0.7960 1
Cu9 0.3148 0.7924 0.9559 1
Cu10 0.4147 0.2014 0.5553 1
Cu11 0.6237 0.0056 0.7453 1
Cu12 0.7433 0.3866 0.3564 1
Cu13 0.7848 0.5836 0.6511 1
Cu14 0.8059 0.1873 0.7964 1
Cu15 0.8526 0.3851 0.1102 1
Cu16 0.8747 0.9971 0.2531 1
Cu17 0.9004 0.5764 0.4053 1
Cu18 0.9226 0.1979 0.5520 1
Cu19 0.9476 0.7860 0.7038 1
Ag1 0.0644 0.7828 0.4602 1
Ag2 0.1232 0.9969 0.7557 1
Ag3 0.1407 0.5905 0.9093 1
Ag4 0.1886 0.7894 0.1992 1
Ag5 0.2400 0.9992 0.5064 1
Ag6 0.3256 0.3811 0.1122 1
Ag7 0.3576 0.9989 0.2536 1
Ag8 0.3869 0.5749 0.4106 1
Ag9 0.4512 0.7884 0.7082 1
Ag10 0.4698 0.3807 0.8529 1
Ag11 0.4866 0.0027 0.9890 1
Ag12 0.5236 0.5772 0.1596 1
Ag13 0.5494 0.2024 0.3090 1
Ag14 0.5736 0.7808 0.4586 1
Ag15 0.6054 0.3856 0.6044 1
Ag16 0.6505 0.5846 0.9039 1
Ag17 0.6844 0.1873 0.0555 1
Ag18 0.6989 0.7931 0.2033 1
Ag19 0.7474 0.9984 0.5078 1
Ag20 0.8177 0.7966 0.9501 1
Ag21 0.9794 0.3836 0.8461 1
```

Top 10 peaks for 2θ from 5° to 70°, in order of falling intensity:
hkl	two_theta	I/Imax
2 -2 1	39.71	100
0 1 -4	39.91	49
0 4 4	39.97	49
-2 1 3	46.03	32
2 2 5	46.27	32
0 5 0	46.65	30
2 4 -3	67.62	18
4 1 2	66.99	10
0 3 8	67.65	9
2 -3 5	67.76	9

=====

Record 6
For B4PdAu, the GGA-PBE geometry in OQMD gives the simulated powder X-ray diffraction pattern in this record (Cu Kα (λ = 1.5418 Å)).

```
data_B4PdAu
_cell_length_a 3.1126
_cell_length_b 5.0000
_cell_length_c 7.9884
_cell_angle_alpha 90.00
_cell_angle_beta 90.00
_cell_angle_gamma 90.00
_space_group_name_H-M_alt 'I m m m'
_space_group_IT_number 71
_space_group_name_Hall '-I 2 2'
loop_
_atom_site_label
_atom_site_fract_x
_atom_site_fract_y
_atom_site_fract_z
_atom_site_occupancy
B1 0.0000 0.1880 0.2425 1
Pd1 0.0000 0.5000 0.5000 1
Au1 0.0000 0.5000 0.0000 1
```

Top 10 peaks for 2θ from 5° to 70°, in order of falling intensity:
hkl	two_theta	I/Imax
1 1 2	40.95	100
0 0 2	22.26	85
1 1 0	33.93	72
0 2 2	42.67	47
1 1 4	57.88	32
0 2 0	35.92	29
0 0 4	45.41	21
0 1 1	20.96	20
1 3 2	67.98	18
1 3 0	63.29	15

=====

Record 7
For Pr2SmSi4Pd4, the GGA-PBE geometry in OQMD gives the simulated powder X-ray diffraction pattern in this record (Cu Kα (λ = 1.5418 Å)).

```
data_Pr2SmSi4Pd4
_cell_length_a 4.1424
_cell_length_b 4.2594
_cell_length_c 24.6488
_cell_angle_alpha 90.00
_cell_angle_beta 90.00
_cell_angle_gamma 90.00
_space_group_name_H-M_alt 'I m m m'
_space_group_IT_number 71
_space_group_name_Hall '-I 2 2'
loop_
_atom_site_label
_atom_site_fract_x
_atom_site_fract_y
_atom_site_fract_z
_atom_site_occupancy
Pr1 0.0000 0.0000 0.1465 1
Sm1 0.0000 0.5000 0.0000 1
Si1 0.0000 0.0000 0.3039 1
Si2 0.0000 0.5000 0.4521 1
Pd1 0.0000 0.0000 0.4037 1
Pd2 0.0000 0.5000 0.2489 1
```

Top 10 peaks for 2θ from 5° to 70°, in order of falling intensity:
hkl	two_theta	I/Imax
1 1 4	33.48	100
0 2 0	42.44	16
2 0 0	43.70	15
0 1 3	23.53	11
0 1 11	45.75	11
1 2 7	55.05	11
2 2 0	62.56	10
0 1 9	39.10	10
0 0 8	28.98	9
1 0 5	28.14	8

=====

Record 8
For SrCoNiGe2, the GGA-PBE geometry in OQMD gives the simulated powder X-ray diffraction pattern in this record (Cu Kα (λ = 1.5418 Å)).

```
data_SrCoNiGe2
_cell_length_a 4.1333
_cell_length_b 4.1333
_cell_length_c 10.5230
_cell_angle_alpha 90.00
_cell_angle_beta 90.00
_cell_angle_gamma 90.00
_space_group_name_H-M_alt 'I -4 m 2'
_space_group_IT_number 119
_space_group_name_Hall 'I -4 -2'
loop_
_atom_site_label
_atom_site_fract_x
_atom_site_fract_y
_atom_site_fract_z
_atom_site_occupancy
Sr1 0.0000 0.0000 0.0000 1
Co1 0.0000 0.5000 0.7500 1
Ni1 0.0000 0.5000 0.2500 1
Ge1 0.0000 0.0000 0.3597 1
```

Top 10 peaks for 2θ from 5° to 70°, in order of falling intensity:
hkl	two_theta	I/Imax
1 0 3	33.51	100
2 0 0	43.80	64
1 1 2	35.12	63
2 1 3	56.25	44
1 1 6	61.68	29
1 1 4	46.44	26
2 2 0	63.68	20
1 1 0	30.59	16
0 0 2	16.85	14
1 0 5	48.54	13

=====

Record 9
For PrNd2GaBr3, the GGA-PBE geometry in OQMD gives the simulated powder X-ray diffraction pattern in this record (Cu Kα (λ = 1.5418 Å)).

```
data_PrNd2GaBr3
_cell_length_a 6.0189
_cell_length_b 6.0189
_cell_length_c 6.0208
_cell_angle_alpha 90.00
_cell_angle_beta 90.00
_cell_angle_gamma 90.00
_space_group_name_H-M_alt 'P 4/m m m'
_space_group_IT_number 123
_space_group_name_Hall '-P 4 2'
loop_
_atom_site_label
_atom_site_fract_x
_atom_site_fract_y
_atom_site_fract_z
_atom_site_occupancy
Pr1 0.0000 0.0000 0.0000 1
Nd1 0.0000 0.5000 0.5000 1
Ga1 0.0000 0.0000 0.5000 1
Br1 0.0000 0.5000 0.0000 1
Br2 0.5000 0.5000 0.5000 1
```

Top 10 peaks for 2θ from 5° to 70°, in order of falling intensity:
hkl	two_theta	I/Imax
2 0 0	29.68	100
2 2 0	42.48	75
4 2 0	69.88	34
2 2 2	52.67	26
1 1 0	20.87	20
0 0 1	14.72	17
4 0 0	61.63	12
2 0 1	33.28	10
1 1 2	36.57	9
2 2 1	45.19	5

=====

Record 10
For GaPd15, the GGA-PBE geometry in OQMD gives the simulated powder X-ray diffraction pattern in this record (Cu Kα (λ = 1.5418 Å)).

```
data_GaPd15
_cell_length_a 4.8108
_cell_length_b 36.3063
_cell_length_c 4.8100
_cell_angle_alpha 90.00
_cell_angle_beta 109.74
_cell_angle_gamma 90.00
_space_group_name_H-M_alt 'P 1 2/c 1'
_space_group_IT_number 13
_space_group_name_Hall '-P 2yc'
loop_
_atom_site_label
_atom_site_fract_x
_atom_site_fract_y
_atom_site_fract_z
_atom_site_occupancy
Ga1 0.0000 0.2173 0.2500 1
Pd1 0.0000 0.2455 0.7500 1
Pd2 0.0000 0.2878 0.2500 1
Pd3 0.0000 0.3256 0.7500 1
Pd4 0.0000 0.3649 0.2500 1
Pd5 0.0000 0.4034 0.7500 1
Pd6 0.0000 0.4422 0.2500 1
Pd7 0.0000 0.4807 0.7500 1
Pd8 0.5000 0.2097 0.7500 1
Pd9 0.5000 0.2455 0.2500 1
Pd10 0.5000 0.2866 0.7500 1
Pd11 0.5000 0.3256 0.2500 1
Pd12 0.5000 0.3643 0.7500 1
Pd13 0.5000 0.4034 0.2500 1
Pd14 0.5000 0.4420 0.7500 1
Pd15 0.5000 0.4807 0.2500 1
```

Top 10 peaks for 2θ from 5° to 70°, in order of falling intensity:
hkl	two_theta	I/Imax
2 0 -2	46.17	100
2 0 0	39.82	90
1 13 -1	39.57	89
2 1 0	39.90	44
3 13 -1	67.34	36
1 12 -1	37.50	34
0 4 0	9.74	23
1 12 1	44.35	21
0 3 0	7.30	19
1 14 -1	41.72	14

=====

Record 11
For LiCoCuPb, the GGA-PBE geometry in OQMD gives the simulated powder X-ray diffraction pattern in this record (Cu Kα (λ = 1.5418 Å)).

```
data_LiCoCuPb
_cell_length_a 6.1325
_cell_length_b 6.1325
_cell_length_c 6.1325
_cell_angle_alpha 90.00
_cell_angle_beta 90.00
_cell_angle_gamma 90.00
_space_group_name_H-M_alt 'F -4 3 m'
_space_group_IT_number 216
_space_group_name_Hall 'F -4 2 3'
loop_
_atom_site_label
_atom_site_fract_x
_atom_site_fract_y
_atom_site_fract_z
_atom_site_occupancy
Li1 0.0000 0.0000 0.0000 1
Co1 0.0000 0.0000 0.5000 1
Cu1 0.2500 0.2500 0.2500 1
Pb1 0.2500 0.2500 0.7500 1
```

Top 8 peaks for 2θ from 5° to 70°, in order of falling intensity:
hkl	two_theta	I/Imax
2 2 0	41.66	100
2 0 0	29.12	47
1 1 1	25.15	45
3 1 1	49.28	24
4 2 0	68.42	18
4 0 0	60.38	16
2 2 2	51.63	13
3 3 1	66.45	10

=====

Record 12
For GaPt17, the GGA-PBE geometry in OQMD gives the simulated powder X-ray diffraction pattern in this record (Cu Kα (λ = 1.5418 Å)).

```
data_GaPt17
_cell_length_a 4.7943
_cell_length_b 5.5401
_cell_length_c 34.1256
_cell_angle_alpha 90.00
_cell_angle_beta 90.12
_cell_angle_gamma 90.00
_space_group_name_H-M_alt 'P 1 21/m 1'
_space_group_IT_number 11
_space_group_name_Hall '-P 2yb'
loop_
_atom_site_label
_atom_site_fract_x
_atom_site_fract_y
_atom_site_fract_z
_atom_site_occupancy
Ga1 0.1657 0.2500 0.2738 1
Pt1 0.0000 0.0000 0.0000 1
Pt2 0.0001 0.0016 0.2057 1
Pt3 0.1654 0.7500 0.8630 1
Pt4 0.1672 0.2500 0.0683 1
Pt5 0.1675 0.2500 0.8638 1
Pt6 0.1672 0.7500 0.0685 1
Pt7 0.1692 0.7500 0.2739 1
Pt8 0.3331 0.9997 0.9316 1
Pt9 0.3331 0.0008 0.1370 1
Pt10 0.3335 0.0017 0.7263 1
Pt11 0.4963 0.2500 0.2063 1
Pt12 0.4992 0.2500 0.7952 1
Pt13 0.5004 0.2500 0.0000 1
```

Top 10 peaks for 2θ from 5° to 70°, in order of falling intensity:
hkl	two_theta	I/Imax
1 2 5	39.84	100
0 0 2	5.18	78
2 0 10	46.27	62
1 2 4	39.02	41
2 0 9	44.71	39
3 2 0	67.69	29
0 0 15	39.61	29
0 0 14	36.87	27
1 2 19	64.86	19
1 2 6	40.84	16